This entry pairs a crystal structure of PaBeVO6 with its calculated powder XRD pattern. Radiation: Cu Kα. Structure: a cell relaxed with GGA+U.
Peak positions follow from Bragg's law for the DFT cell and can differ from measured ones.

Top 12 peaks for 2θ from 5° to 70°, in order of rising 2θ:
18.5°, intensity 14, (0 0 1)
21.2°, intensity 53, (1 0 0)
28.3°, intensity 100, (1 0 1)
37.1°, intensity 20, (1 1 0)
41.8°, intensity 20, (1 1 1)
43.1°, intensity 12, (2 0 0)
43.5°, intensity 21, (1 0 2)
47.3°, intensity 24, (2 0 1)
53.8°, intensity 26, (2 -1 2)
58.1°, intensity 9, (2 1 0)
61.6°, intensity 22, (3 -1 1)
62.1°, intensity 11, (1 0 3)

Structural model:
```
data_PaBeVO6
_chemical_formula_sum 'Pa1 Be1 V1 O6'
_space_group_name_H-M_alt 'P 1'
_space_group_IT_number 1
_space_group_name_Hall 'P 1'
_cell_length_a 4.8475
_cell_length_b 4.8475
_cell_length_c 4.7956
_cell_angle_alpha 90.00
_cell_angle_beta 90.00
_cell_angle_gamma 120.00
loop_
_atom_site_label
_atom_site_type_symbol
_atom_site_fract_x
_atom_site_fract_y
_atom_site_fract_z
Pa1 Pa 0.0000 0.0000 0.0000
Be1 Be 0.6667 0.3333 0.5000
V1 V 0.3333 0.6667 0.5000
O1 O 0.3614 0.0046 0.7185
O2 O 0.3614 0.3568 0.2815
O3 O 0.6432 0.0046 0.2815
O4 O 0.6432 0.6386 0.7185
O5 O 0.9954 0.3568 0.7185
O6 O 0.9954 0.6386 0.2815
```